Computed powder XRD pattern of Al3MoF for CuKα, from the PBE+U geometry in Alexandria.
Intensities are scaled so that the largest is 100.

Crystal structure
Cell: 4.2289 4.2289 4.2289 Å, 90.00 90.00 90.00°
Positions (direct):
Al: 0.0000 0.0000 0.5000
Al: 0.0000 0.5000 0.0000
Al: 0.5000 0.0000 0.0000
Mo: 0.5000 0.5000 0.5000
F: 0.0000 0.0000 0.0000

Most intense lines, 2θ = 10–80°, by angle:
d_spacing, I/Imax, hkl
4.229, 31, 1 0 0
2.990, 87, 1 1 0
2.442, 100, 1 1 1
2.114, 75, 2 0 0
1.891, 15, 2 1 0
1.726, 31, 2 1 1
1.495, 47, 2 2 0
1.337, 13, 3 1 0
1.275, 39, 3 1 1
1.221, 16, 2 2 2